Record 1
Structure and theoretical powder X-ray diffraction pattern of Sr2TiFeO6 (a DFT-relaxed cell (GGA+U, the Materials Project); Cu Kα (weighted mean of Kα1 and Kα2)).
Intensities are scaled so that the largest is 100.

Cell and atoms:
a = 5.5739 Å, b = 5.5739 Å, c = 5.5739 Å
α = 60.00°, β = 60.00°, γ = 60.00°
Fractional positions:
Sr (0.2500, 0.2500, 0.2500)
Sr (0.7500, 0.7500, 0.7500)
Ti (0.0000, 0.0000, 0.0000)
Fe (0.5000, 0.5000, 0.5000)
O (0.2487, 0.2487, 0.7513)
O (0.2487, 0.7513, 0.2487)
O (0.2487, 0.7513, 0.7513)
O (0.7513, 0.2487, 0.2487)
O (0.7513, 0.2487, 0.7513)
O (0.7513, 0.7513, 0.2487)

Largest 8 diffraction maxima, in order of rising 2θ, 2θ from 10° to 80°:
2theta	Rel. int.
22.56	2
32.12	100
39.61	17
46.06	40
51.87	2
57.26	38
67.18	23
76.42	16

Record 2
Structure and theoretical powder X-ray diffraction pattern of NaCrNO6 (a DFT-relaxed cell (GGA+U, the Materials Project); Cu Kα (weighted mean of Kα1 and Kα2)).
Intensities are scaled so that the largest is 100.

Cell and atoms:
a = 7.4290 Å, b = 7.9540 Å, c = 10.2708 Å
α = 90.00°, β = 90.00°, γ = 90.00°
Fractional positions:
Na (0.0948, 0.1614, 0.2144)
Na (0.4052, 0.8386, 0.7144)
Na (0.5948, 0.3386, 0.7856)
Na (0.9052, 0.6614, 0.2856)
Cr (0.1199, 0.1366, 0.8979)
Cr (0.3801, 0.8634, 0.3979)
Cr (0.6199, 0.3634, 0.1021)
Cr (0.8801, 0.6366, 0.6021)
N (0.0822, 0.1423, 0.5385)
N (0.4178, 0.8577, 0.0385)
N (0.5822, 0.3577, 0.4615)
N (0.9178, 0.6423, 0.9615)
O (0.0853, 0.6761, 0.7012)
O (0.0851, 0.9703, 0.9851)
O (0.1390, 0.2983, 0.9929)
O (0.1694, 0.4597, 0.2862)
O (0.1767, 0.5101, 0.7383)
O (0.2033, 0.8880, 0.3031)
O (0.2967, 0.1120, 0.8031)
O (0.3233, 0.4899, 0.2383)
O (0.3306, 0.5403, 0.7862)
O (0.3610, 0.7017, 0.4929)
O (0.4149, 0.0297, 0.4851)
O (0.4147, 0.3239, 0.2012)
O (0.5851, 0.5297, 0.0149)
O (0.5853, 0.8239, 0.2988)
O (0.6390, 0.2017, 0.0071)
O (0.6694, 0.0403, 0.7138)
O (0.6767, 0.9899, 0.2617)
O (0.7033, 0.6120, 0.6969)
O (0.7967, 0.3880, 0.1969)
O (0.8233, 0.0101, 0.7617)
O (0.8306, 0.9597, 0.2138)
O (0.8610, 0.7983, 0.5071)
O (0.9147, 0.1761, 0.7988)
O (0.9149, 0.4703, 0.5149)

Largest 8 diffraction maxima, in order of rising 2θ, 2θ from 10° to 80°:
2theta	Rel. int.
14.08	100
18.48	44
23.85	39
24.00	36
25.45	75
26.48	43
30.88	30
37.47	40

Record 3
Structure and theoretical powder X-ray diffraction pattern of Mn3SnO8 (a DFT-relaxed cell (GGA+U, the Materials Project); Cu Kα (weighted mean of Kα1 and Kα2)).
Intensities are scaled so that the largest is 100.

Cell and atoms:
a = 6.1362 Å, b = 6.1362 Å, c = 6.1362 Å
α = 56.72°, β = 56.72°, γ = 56.72°
Fractional positions:
Mn (0.0000, 0.5000, 0.5000)
Mn (0.5000, 0.0000, 0.5000)
Mn (0.5000, 0.5000, 0.0000)
Sn (0.5000, 0.5000, 0.5000)
O (0.2536, 0.2536, 0.7078)
O (0.2536, 0.7078, 0.2536)
O (0.2699, 0.2699, 0.2699)
O (0.2922, 0.7464, 0.7464)
O (0.7078, 0.2536, 0.2536)
O (0.7301, 0.7301, 0.7301)
O (0.7464, 0.2922, 0.7464)
O (0.7464, 0.7464, 0.2922)

Largest 8 diffraction maxima, in order of rising 2θ, 2θ from 10° to 80°:
2theta	Rel. int.
18.50	100
34.11	17
35.42	31
37.50	12
42.85	49
56.76	11
60.50	14
63.87	13

Record 4
Structure and theoretical powder X-ray diffraction pattern of Li2FeNi2O6 (a DFT-relaxed cell (GGA+U, the Materials Project); Cu Kα (weighted mean of Kα1 and Kα2)).
Intensities are scaled so that the largest is 100.

Cell and atoms:
a = 4.9210 Å, b = 4.9210 Å, c = 9.9241 Å
α = 90.00°, β = 90.00°, γ = 62.55°
Fractional positions:
Li (0.1327, 0.3673, 0.2500)
Li (0.3673, 0.1327, 0.7500)
Li (0.6327, 0.8673, 0.2500)
Li (0.8673, 0.6327, 0.7500)
Fe (0.0000, 0.0000, 0.0000)
Fe (0.5000, 0.5000, 0.5000)
Ni (0.1649, 0.1649, 0.5000)
Ni (0.3351, 0.3351, 0.0000)
Ni (0.6649, 0.6649, 0.0000)
Ni (0.8351, 0.8351, 0.5000)
O (0.0329, 0.3095, 0.8924)
O (0.1745, 0.8255, 0.4044)
O (0.1905, 0.4671, 0.6076)
O (0.3095, 0.0329, 0.1076)
O (0.3255, 0.6745, 0.9044)
O (0.4671, 0.1905, 0.3924)
O (0.5329, 0.8095, 0.6076)
O (0.6745, 0.3255, 0.0956)
O (0.6905, 0.9671, 0.8924)
O (0.8095, 0.5329, 0.3924)
O (0.8255, 0.1745, 0.5956)
O (0.9671, 0.6905, 0.1076)

Largest 8 diffraction maxima, in order of rising 2θ, 2θ from 10° to 80°:
2theta	Rel. int.
17.88	100
35.13	11
37.70	28
39.68	19
46.00	33
51.33	12
59.90	18
64.73	15

Record 5
Structure and theoretical powder X-ray diffraction pattern of Li2V3TeO8 (a DFT-relaxed cell (GGA+U, the Materials Project); Cu Kα (weighted mean of Kα1 and Kα2)).
Intensities are scaled so that the largest is 100.

Cell and atoms:
a = 5.8901 Å, b = 5.8901 Å, c = 10.2544 Å
α = 90.00°, β = 90.00°, γ = 120.00°
Fractional positions:
Li (0.0000, 0.0000, 0.0000)
Li (0.0000, 0.0000, 0.5000)
Li (0.3333, 0.6667, 0.4095)
Li (0.6667, 0.3333, 0.9095)
V (0.1780, 0.3559, 0.7295)
V (0.1780, 0.8220, 0.7295)
V (0.3559, 0.1780, 0.2295)
V (0.6441, 0.8220, 0.7295)
V (0.8220, 0.1780, 0.2295)
V (0.8220, 0.6441, 0.2295)
Te (0.3333, 0.6667, 0.0156)
Te (0.6667, 0.3333, 0.5156)
O (0.0000, 0.0000, 0.3141)
O (0.0000, 0.0000, 0.8141)
O (0.0216, 0.5108, 0.8393)
O (0.1605, 0.3209, 0.1122)
O (0.1605, 0.8395, 0.1122)
O (0.3209, 0.1605, 0.6122)
O (0.3333, 0.6667, 0.6131)
O (0.4892, 0.5108, 0.8393)
O (0.4892, 0.9784, 0.8393)
O (0.5108, 0.0216, 0.3393)
O (0.5108, 0.4892, 0.3393)
O (0.6667, 0.3333, 0.1131)
O (0.6791, 0.8395, 0.1122)
O (0.8395, 0.1605, 0.6122)
O (0.8395, 0.6791, 0.6122)
O (0.9784, 0.4892, 0.3393)

Largest 8 diffraction maxima, in order of rising 2θ, 2θ from 10° to 80°:
2theta	Rel. int.
17.33	24
19.44	100
24.62	27
31.51	54
35.15	66
36.30	29
57.68	34
63.14	23

Record 6
Structure and theoretical powder X-ray diffraction pattern of MgFeCo5O12 (a DFT-relaxed cell (GGA+U, the Materials Project); Cu Kα (weighted mean of Kα1 and Kα2)).
Intensities are scaled so that the largest is 100.

Cell and atoms:
a = 4.9622 Å, b = 4.9678 Å, c = 10.0655 Å
α = 93.84°, β = 94.28°, γ = 119.45°
Fractional positions:
Mg (0.0000, 0.0000, 0.0000)
Fe (0.2565, 0.5908, 0.7499)
Co (0.0552, 0.7266, 0.2470)
Co (0.3923, 0.3949, 0.2522)
Co (0.5906, 0.2586, 0.7524)
Co (0.7257, 0.0584, 0.2466)
Co (0.9188, 0.9198, 0.7346)
O (0.0279, 0.3534, 0.1469)
O (0.0536, 0.0554, 0.3446)
O (0.2381, 0.9184, 0.6514)
O (0.2700, 0.2575, 0.8520)
O (0.3500, 0.0315, 0.1479)
O (0.4213, 0.7598, 0.3373)
O (0.5727, 0.5533, 0.6511)
O (0.6469, 0.9650, 0.8515)
O (0.7268, 0.7302, 0.1379)
O (0.7595, 0.4230, 0.3374)
O (0.8745, 0.2203, 0.6518)
O (0.9407, 0.6360, 0.8516)

Largest 8 diffraction maxima, in order of rising 2θ, 2θ from 10° to 80°:
2theta	Rel. int.
17.80	100
36.25	8
36.78	16
38.17	14
44.12	7
47.18	8
47.42	8
64.70	8

Record 7
Structure and theoretical powder X-ray diffraction pattern of Sr2MgWO6 (a DFT-relaxed cell (GGA+U, the Materials Project); Cu Kα (weighted mean of Kα1 and Kα2)).
Intensities are scaled so that the largest is 100.

Cell and atoms:
a = 5.6776 Å, b = 5.6776 Å, c = 5.6776 Å
α = 60.00°, β = 60.00°, γ = 60.00°
Fractional positions:
Sr (0.2500, 0.2500, 0.2500)
Sr (0.7500, 0.7500, 0.7500)
Mg (0.0000, 0.0000, 0.0000)
W (0.5000, 0.5000, 0.5000)
O (0.2573, 0.2573, 0.7427)
O (0.2573, 0.7427, 0.2573)
O (0.2573, 0.7427, 0.7427)
O (0.7427, 0.2573, 0.2573)
O (0.7427, 0.2573, 0.7427)
O (0.7427, 0.7427, 0.2573)

Largest 8 diffraction maxima, in order of rising 2θ, 2θ from 10° to 80°:
2theta	Rel. int.
19.15	47
31.52	100
37.14	25
45.17	34
49.48	10
56.12	40
65.79	21
74.78	18